This entry pairs a crystal structure of MgMn9CdO10 with its simulated powder diffraction line list. Radiation: Cu Kα (λ = 1.5418 Å). Structure: a GGA+U-relaxed structure.
Peak positions follow from Bragg's law for the DFT cell and can differ from measured ones.

Peak list (10 most intense, 10 to 90 degrees two-theta, by intensity)
- 2.897 Å, 30.9°, I = 1000
- 2.743 Å, 32.6°, I = 618
- 2.540 Å, 35.3°, I = 602
- 3.362 Å, 26.5°, I = 532
- 2.510 Å, 35.8°, I = 508
- 3.100 Å, 28.8°, I = 489
- 2.118 Å, 42.7°, I = 488
- 2.332 Å, 38.6°, I = 469
- 2.670 Å, 33.6°, I = 398
- 2.244 Å, 40.2°, I = 363

Crystal structure
```
MgMn9CdO10
1.0
3.1099 -8.6889 0.0000
3.1099 8.6889 0.0000
-2.8338 0.0000 5.3082
Mg Mn Cd O
1 9 1 10
direct
0.0000 0.0000 0.0000 Mg
0.1734 0.1734 0.5733 Mn
0.2074 0.8861 0.7710 Mn
0.3113 0.9045 0.3089 Mn
0.4240 0.7569 0.0131 Mn
0.4915 0.6737 0.5449 Mn
0.6737 0.4915 0.5449 Mn
0.7569 0.4240 0.0131 Mn
0.8861 0.2074 0.7710 Mn
0.9045 0.3113 0.3089 Mn
0.5636 0.5636 0.1024 Cd
0.0557 0.5090 0.0631 O
0.1727 0.4351 0.6356 O
0.3195 0.3195 0.3302 O
0.4351 0.1727 0.6356 O
0.5090 0.0557 0.0631 O
0.5712 0.9254 0.4260 O
0.7661 0.9839 0.9726 O
0.8677 0.8677 0.6124 O
0.9254 0.5712 0.4260 O
0.9839 0.7661 0.9726 O
```